Theoretical powder diffraction line list of Ac2Zn3Cd2 for λ = 1.5418 Å (Cu Kα), from a crystal structure in Alexandria, relaxed with PBE.
Intensities are scaled so that the largest is 100.

Top 6 peaks for 5° ≤ 2θ ≤ 70°, by angle:
| 2theta | d/Å | I/Imax |
| --- | --- | --- |
| 30.28 | 2.952 | 74 |
| 31.72 | 2.821 | 100 |
| 38.84 | 2.319 | 38 |
| 39.17 | 2.300 | 32 |
| 51.14 | 1.786 | 22 |
| 56.35 | 1.633 | 25 |

Atomic structure:
```
data_Ac2Zn3Cd2
_chemical_formula_sum 'Ac8 Zn12 Cd8'
_cell_length_a 4.599
_cell_length_b 20.062
_cell_length_c 7.844
_cell_angle_alpha 90.00
_cell_angle_beta 90.00
_cell_angle_gamma 90.00
_symmetry_space_group_name_H-M 'C m c m'
_symmetry_Int_Tables_number 63
_symmetry_space_group_name_Hall '-C 2c 2'
loop_
_atom_site_label
_atom_site_fract_x
_atom_site_fract_y
_atom_site_fract_z
Ac1 0.000 0.061 0.250
Ac2 0.000 0.151 0.750
Zn1 0.000 0.229 0.250
Zn2 0.000 0.447 0.082
Cd1 0.000 0.313 0.558
```